This entry pairs a crystal structure of Li2MnV2O7 with its computed powder diffraction line list. Radiation: Cu Kα (λ = 1.5418 Å). Structure: a cell relaxed with PBE+U.
Peak positions follow from Bragg's law for the DFT cell and can differ from measured ones.

Structural model:
Cell lengths 8.177, 8.177, 8.177 Å; angles 37.52, 37.52, 37.52 degrees
Fractional coordinates of all 12 atoms:
Li: 0.230 0.230 0.230
Li: 0.770 0.770 0.770
Mn: 0.500 0.500 0.500
V: 0.079 0.079 0.079
V: 0.921 0.921 0.921
O: 0.000 0.000 0.000
O: 0.129 0.401 0.788
O: 0.212 0.599 0.871
O: 0.401 0.788 0.129
O: 0.599 0.871 0.212
O: 0.788 0.129 0.401
O: 0.871 0.212 0.599

Main lines, sorted by position (10 to 80 degrees two-theta):
| 2θ/deg | I_rel |
| --- | --- |
| 11.66 | 49.9 |
| 19.88 | 22.2 |
| 21.00 | 100.0 |
| 23.43 | 16.8 |
| 27.69 | 46.4 |
| 33.85 | 32.1 |
| 34.09 | 43.0 |
| 61.02 | 18.4 |